For Mn2ZnO4, a cell relaxed with GGA+U gives the simulated PXRD pattern in this record (a wavelength of 1.5418 Å).
Kinematic intensities with the Lorentz-polarization factor, no thermal factor.

Most intense lines, 2θ = 10–80°, by intensity:
d/Å  two_theta  I/Imax
2.573  34.9  100
2.632  34.1  51
1.640  56.1  31
3.056  29.2  27
4.965  17.9  23
1.530  60.5  22
1.505  61.6  22
1.526  60.7  22
2.128  42.5  22
2.483  36.2  14
3.009  29.7  14
1.686  54.4  13

Atomic structure:
abc: 10.6283 6.0182 14.9247
angles: 90.00 91.73 90.00
Space group Cm (No. 8)
One atom of each set of equivalent atoms:
Mn  0.0000  0.0000  0.0000 x2
Mn  0.0080  0.0000  0.6232 x2
Mn  0.0180  0.0000  0.2444 x2
Mn  0.0966  0.2510  0.4572 x4
Mn  0.1842  0.5000  0.9106 x2
Mn  0.2593  0.2493  0.1225 x4
Mn  0.3339  0.0000  0.3343 x2
Mn  0.3535  0.0000  0.5775 x2
Mn  0.4218  0.2495  0.7875 x4
Zn  0.0096  0.5000  0.1226 x2
Zn  0.1633  0.5000  0.6677 x2
Zn  0.1738  0.0000  0.7909 x2
Zn  0.1753  0.5000  0.2896 x2
Zn  0.3440  0.5000  0.4546 x2
Zn  0.3450  0.0000  0.9555 x2
O  0.0018  0.5000  0.8600 x2
O  0.0200  0.0000  0.3836 x2
O  0.0196  0.5000  0.3881 x2
O  0.0699  0.2300  0.7085 x4
O  0.1123  0.2655  0.1975 x4
O  0.1693  0.0000  0.5283 x2
O  0.1706  0.5000  0.5327 x2
O  0.1848  0.0000  0.0494 x2
O  0.1875  0.5000  0.0517 x2
O  0.2408  0.2676  0.3838 x4
O  0.2781  0.2344  0.8626 x4
O  0.3314  0.0000  0.1932 x2
O  0.3337  0.5000  0.1957 x2
O  0.3447  0.5000  0.7120 x2
O  0.3482  0.0000  0.7165 x2
O  0.4063  0.2342  0.0481 x4
O  0.4508  0.2743  0.5354 x4
O  0.4987  0.5000  0.8584 x2